Starting from a cell relaxed with PBE, the XRD peak list of Ce3NdIr8 was simulated for Cu Kα, 1.54184 Å.
Peak positions follow from Bragg's law for the DFT cell and can differ from measured ones.

Most intense lines, 5° ≤ 2θ ≤ 70°, in order of rising 2θ:
Position (°2θ)  intensity  index
18.91  16  1 0 0
33.07  19  1 1 0
36.10  60  1 0 3
39.04  92  1 1 2
39.76  100  0 2 1
41.00  21  0 0 4
43.72  32  2 0 2
45.52  18  0 1 4
61.05  24  2 1 3
63.08  23  0 3 2
66.37  30  0 2 5
69.39  30  2 2 0

Structure:
a b c (Å): 5.4176 5.4176 8.8054
angles (deg): 90.00 90.00 120.00
Space group P3m1 (No. 156)
Asymmetric unit:
Ce 0.0000 0.0000 0.0000 x1
Ce 0.0000 0.0000 0.3553 x1
Ce 0.3333 0.6667 0.8619 x1
Nd 0.3333 0.6667 0.4974 x1
Ir 0.0036 0.5018 0.1777 x3
Ir 0.3279 0.1639 0.6811 x3
Ir 0.6667 0.3333 0.4304 x1
Ir 0.6667 0.3333 0.9282 x1